Record 1
Calculated X-ray powder pattern
Compound: ErCd4Ag
Radiation: Cu Ka
Structure: a structure optimized by DFT (PBE)
Kinematic intensities with the Lorentz-polarization factor, no thermal factor.

Structural model:
```
data_ErCd4Ag
_chemical_formula_sum 'Er4 Cd16 Ag4'
_symmetry_space_group_name_H-M 'C m c 21'
_symmetry_Int_Tables_number 36
_symmetry_space_group_name_Hall 'C 2c -2'
_cell_length_a 3.8803
_cell_length_b 18.2291
_cell_length_c 7.7715
_cell_angle_alpha 90.00
_cell_angle_beta 90.00
_cell_angle_gamma 90.00
loop_
_atom_site_label
_atom_site_type_symbol
_atom_site_fract_x
_atom_site_fract_y
_atom_site_fract_z
_atom_site_occupancy
Er1 Er 0.0000 0.1101 0.0000 1
Cd1 Cd 0.0000 0.0702 0.4791 1
Cd2 Cd 0.0000 0.2463 0.4883 1
Cd3 Cd 0.0000 0.3369 0.1901 1
Cd4 Cd 0.0000 0.5004 0.2359 1
Ag1 Ag 0.0000 0.3372 0.7862 1
```

Main lines, by angle (10° ≤ 2θ ≤ 90°):
index  d [Å]  Position (°2θ)  intensity
1 3 1  3.014  29.6  16
1 1 2  2.715  33.0  100
1 5 0  2.657  33.7  41
1 5 1  2.514  35.7  42
0 6 2  2.393  37.6  64
1 7 0  2.162  41.8  18
1 1 3  2.140  42.2  12
2 0 0  1.941  46.8  41
2 6 2  1.507  61.5  29
1 11 3  1.314  71.9  15

---

Record 2
Calculated X-ray powder pattern
Compound: RbAlCuP2O8
Radiation: Cu Ka
Structure: a structure optimized by DFT (PBE)
Kinematic intensities with the Lorentz-polarization factor, no thermal factor.

Structural model:
```
data_RbAlCuP2O8
_chemical_formula_sum 'Rb4 Al4 Cu4 P8 O32'
_symmetry_space_group_name_H-M 'P 1 21/c 1'
_symmetry_Int_Tables_number 14
_symmetry_space_group_name_Hall '-P 2ybc'
_cell_length_a 5.1596
_cell_length_b 14.1632
_cell_length_c 9.5790
_cell_angle_alpha 90.00
_cell_angle_beta 99.18
_cell_angle_gamma 90.00
loop_
_atom_site_label
_atom_site_type_symbol
_atom_site_fract_x
_atom_site_fract_y
_atom_site_fract_z
_atom_site_occupancy
Rb1 Rb 0.2120 0.1728 0.2816 1
Al1 Al 0.2506 0.6303 0.8899 1
Cu1 Cu 0.2374 0.0412 0.9456 1
P1 P 0.2731 0.0140 0.6608 1
P2 P 0.2757 0.6715 0.5526 1
O1 O 0.0039 0.0512 0.6916 1
O2 O 0.0974 0.5856 0.4899 1
O3 O 0.1683 0.7421 0.9620 1
O4 O 0.2331 0.5758 0.0710 1
O5 O 0.2498 0.6890 0.7085 1
O6 O 0.4086 0.0946 0.5897 1
O7 O 0.4342 0.1580 0.9671 1
O8 O 0.4379 0.5117 0.3062 1
```

Main lines, by angle (10° ≤ 2θ ≤ 90°):
index  d [Å]  Position (°2θ)  intensity
0 1 1  7.864  11.3  25
1 1 -2  3.651  24.4  24
1 3 -1  3.372  26.4  64
0 4 1  3.316  26.9  20
1 3 1  3.142  28.4  100
0 1 3  3.077  29.0  33
0 2 3  2.880  31.1  33
1 4 -1  2.853  31.4  27
2 0 0  2.547  35.2  32
1 1 3  2.469  36.4  19

---

Record 3
Calculated X-ray powder pattern
Compound: SmDy4Y2Ho2
Radiation: Cu Ka
Structure: a structure optimized by DFT (PBE)
Kinematic intensities with the Lorentz-polarization factor, no thermal factor.

Structural model:
```
data_SmDy4Y2Ho2
_chemical_formula_sum 'Sm2 Dy8 Y4 Ho4'
_symmetry_space_group_name_H-M 'C 1 2/m 1'
_symmetry_Int_Tables_number 12
_symmetry_space_group_name_Hall '-C 2y'
_cell_length_a 18.6199
_cell_length_b 3.5861
_cell_length_c 9.5304
_cell_angle_alpha 90.00
_cell_angle_beta 115.73
_cell_angle_gamma 90.00
loop_
_atom_site_label
_atom_site_type_symbol
_atom_site_fract_x
_atom_site_fract_y
_atom_site_fract_z
_atom_site_occupancy
Sm1 Sm 0.0000 0.0000 0.0000 1
Dy1 Dy 0.0186 0.5000 0.3338 1
Dy2 Dy 0.1853 0.0000 0.3348 1
Y1 Y 0.1477 0.0000 0.6665 1
Ho1 Ho 0.1676 0.5000 0.0018 1
```

Main lines, by angle (10° ≤ 2θ ≤ 90°):
index  d [Å]  Position (°2θ)  intensity
6 0 -1  3.082  29.0  41
0 0 3  2.862  31.3  49
6 0 0  2.796  32.0  100
3 1 1  2.659  33.7  88
6 0 -4  2.235  40.4  16
0 2 0  1.792  50.9  38
6 0 3  1.670  55.0  22
3 1 4  1.583  58.3  19
9 1 1  1.519  61.0  44
9 1 4  1.118  87.2  18

---

Record 4
Calculated X-ray powder pattern
Compound: AcPr4Nd7
Radiation: Cu Ka
Structure: a structure optimized by DFT (PBE)
Kinematic intensities with the Lorentz-polarization factor, no thermal factor.

Structural model:
```
data_AcPr4Nd7
_chemical_formula_sum 'Ac1 Pr4 Nd7'
_symmetry_space_group_name_H-M 'P -1'
_symmetry_Int_Tables_number 2
_symmetry_space_group_name_Hall '-P 1'
_cell_length_a 6.4914
_cell_length_b 7.4734
_cell_length_c 9.2874
_cell_angle_alpha 89.93
_cell_angle_beta 76.46
_cell_angle_gamma 89.88
loop_
_atom_site_label
_atom_site_type_symbol
_atom_site_fract_x
_atom_site_fract_y
_atom_site_fract_z
_atom_site_occupancy
Ac1 Ac 0.0000 0.0000 0.0000 1
Pr1 Pr 0.2182 0.5005 0.3314 1
Pr2 Pr 0.2821 0.2523 0.6661 1
Nd1 Nd 0.0000 0.5000 0.0000 1
Nd2 Nd 0.2229 0.0003 0.3351 1
Nd3 Nd 0.2812 0.7469 0.6668 1
Nd4 Nd 0.4998 0.2523 0.0005 1
```

Main lines, by angle (10° ≤ 2θ ≤ 90°):
index  d [Å]  Position (°2θ)  intensity
1 -2 0  3.218  27.7  40
0 0 3  3.010  29.7  50
2 0 2  2.923  30.6  100
2 0 -1  2.781  32.2  88
1 -2 3  2.341  38.4  17
3 2 1  1.873  48.6  25
2 0 5  1.753  52.2  15
2 0 -4  1.661  55.3  19
3 2 4  1.591  58.0  15
0 4 3  1.589  58.1  22

---

Record 5
Calculated X-ray powder pattern
Compound: HfMo2
Radiation: Cu Ka
Structure: a structure optimized by DFT (PBE)
Kinematic intensities with the Lorentz-polarization factor, no thermal factor.

Structural model:
```
data_HfMo2
_chemical_formula_sum 'Hf2 Mo4'
_symmetry_space_group_name_H-M 'I 4/m m m'
_symmetry_Int_Tables_number 139
_symmetry_space_group_name_Hall '-I 4 2'
_cell_length_a 3.2250
_cell_length_b 3.2250
_cell_length_c 10.0559
_cell_angle_alpha 90.00
_cell_angle_beta 90.00
_cell_angle_gamma 90.00
loop_
_atom_site_label
_atom_site_type_symbol
_atom_site_fract_x
_atom_site_fract_y
_atom_site_fract_z
_atom_site_occupancy
Hf1 Hf 0.0000 0.0000 0.0000 1
Mo1 Mo 0.0000 0.0000 0.3214 1
```

Main lines, by angle (10° ≤ 2θ ≤ 90°):
index  d [Å]  Position (°2θ)  intensity
1 0 1  3.071  29.1  13
1 0 3  2.324  38.7  100
1 1 0  2.280  39.5  49
1 1 4  1.689  54.3  5
0 0 6  1.676  54.8  8
2 0 0  1.612  57.1  16
1 1 6  1.350  69.6  16
2 1 3  1.325  71.2  33
2 0 6  1.162  83.1  10
2 2 0  1.140  85.1  5

---

Record 6
Calculated X-ray powder pattern
Compound: La6Nd2Y
Radiation: Cu Ka
Structure: a structure optimized by DFT (PBE)
Kinematic intensities with the Lorentz-polarization factor, no thermal factor.

Structural model:
```
data_La6Nd2Y
_chemical_formula_sum 'La6 Nd2 Y1'
_symmetry_space_group_name_H-M 'P -6 m 2'
_symmetry_Int_Tables_number 187
_symmetry_space_group_name_Hall 'P -6 2'
_cell_length_a 3.6944
_cell_length_b 3.6944
_cell_length_c 27.7116
_cell_angle_alpha 90.00
_cell_angle_beta 90.00
_cell_angle_gamma 120.00
loop_
_atom_site_label
_atom_site_type_symbol
_atom_site_fract_x
_atom_site_fract_y
_atom_site_fract_z
_atom_site_occupancy
La1 La 0.0000 0.0000 0.0618 1
La2 La 0.0000 0.0000 0.2807 1
La3 La 0.3333 0.6667 0.3939 1
Nd1 Nd 0.3333 0.6667 0.1694 1
Y1 Y 0.0000 0.0000 0.5000 1
```

Main lines, by angle (10° ≤ 2θ ≤ 90°):
index  d [Å]  Position (°2θ)  intensity
1 0 0  3.199  27.9  49
0 0 9  3.079  29.0  55
1 0 3  3.023  29.5  20
1 0 4  2.905  30.8  69
1 0 5  2.771  32.3  100
1 0 9  2.219  40.7  34
1 1 0  1.847  49.3  41
1 0 14  1.683  54.5  31
1 1 9  1.584  58.2  46
1 1 18  1.182  81.4  28

---

Record 7
Calculated X-ray powder pattern
Compound: Sr2SmTaN4
Radiation: Cu Ka
Structure: a structure optimized by DFT (PBE)
Kinematic intensities with the Lorentz-polarization factor, no thermal factor.

Structural model:
```
data_Sr2SmTaN4
_chemical_formula_sum 'Sr8 Sm4 Ta4 N16'
_symmetry_space_group_name_H-M 'I m m a'
_symmetry_Int_Tables_number 74
_symmetry_space_group_name_Hall '-I 2b 2'
_cell_length_a 6.8777
_cell_length_b 7.1356
_cell_length_c 9.9853
_cell_angle_alpha 90.00
_cell_angle_beta 90.00
_cell_angle_gamma 90.00
loop_
_atom_site_label
_atom_site_type_symbol
_atom_site_fract_x
_atom_site_fract_y
_atom_site_fract_z
_atom_site_occupancy
Sr1 Sr 0.0000 0.0000 0.0000 1
Sr2 Sr 0.2500 0.2500 0.2500 1
Sm1 Sm 0.0000 0.0000 0.5000 1
Ta1 Ta 0.2500 0.2500 0.7500 1
N1 N 0.0000 0.0433 0.7461 1
N2 N 0.2373 0.2500 0.5363 1
```

Main lines, by angle (10° ≤ 2θ ≤ 90°):
index  d [Å]  Position (°2θ)  intensity
0 1 1  5.806  15.3  28
0 2 2  2.903  30.8  100
2 0 2  2.832  31.6  92
0 0 4  2.496  36.0  48
2 2 0  2.476  36.3  96
0 4 0  1.784  51.2  17
2 2 4  1.758  52.0  64
0 2 6  1.509  61.4  46
4 2 2  1.479  62.8  28
0 4 4  1.451  64.2  16

---

Record 8
Calculated X-ray powder pattern
Compound: Ce6AlZn5
Radiation: Cu Ka
Structure: a structure optimized by DFT (PBE)
Kinematic intensities with the Lorentz-polarization factor, no thermal factor.

Structural model:
```
data_Ce6AlZn5
_chemical_formula_sum 'Ce6 Al1 Zn5'
_symmetry_space_group_name_H-M 'P -1'
_symmetry_Int_Tables_number 2
_symmetry_space_group_name_Hall '-P 1'
_cell_length_a 5.4980
_cell_length_b 6.2002
_cell_length_c 8.2780
_cell_angle_alpha 68.34
_cell_angle_beta 88.42
_cell_angle_gamma 89.82
loop_
_atom_site_label
_atom_site_type_symbol
_atom_site_fract_x
_atom_site_fract_y
_atom_site_fract_z
_atom_site_occupancy
Ce1 Ce 0.0082 0.2748 0.4913 1
Ce2 Ce 0.3122 0.4061 0.1729 1
Ce3 Ce 0.3301 0.9298 0.1547 1
Al1 Al 0.5000 0.0000 0.5000 1
Zn1 Zn 0.1824 0.3369 0.8272 1
Zn2 Zn 0.1831 0.8402 0.8191 1
Zn3 Zn 0.5000 0.5000 0.5000 1
```

Main lines, by angle (10° ≤ 2θ ≤ 90°):
index  d [Å]  Position (°2θ)  intensity
1 0 1  4.533  19.6  15
1 0 -2  3.105  28.8  11
1 2 2  2.561  35.0  100
2 0 2  2.266  39.8  18
1 2 -1  2.203  41.0  15
-1 2 3  2.188  41.3  16
1 -2 3  1.580  58.4  10
1 2 5  1.574  58.6  11
2 0 5  1.359  69.1  10
0 4 5  1.323  71.3  6

---

Record 9
Calculated X-ray powder pattern
Compound: Ce14PmPu
Radiation: Cu Ka
Structure: a structure optimized by DFT (PBE)
Kinematic intensities with the Lorentz-polarization factor, no thermal factor.

Structural model:
```
data_Ce14PmPu
_chemical_formula_sum 'Ce28 Pm2 Pu2'
_symmetry_space_group_name_H-M 'A m m 2'
_symmetry_Int_Tables_number 38
_symmetry_space_group_name_Hall 'A 2 -2'
_cell_length_a 9.4300
_cell_length_b 9.4749
_cell_length_c 9.4775
_cell_angle_alpha 90.00
_cell_angle_beta 90.00
_cell_angle_gamma 90.00
loop_
_atom_site_label
_atom_site_type_symbol
_atom_site_fract_x
_atom_site_fract_y
_atom_site_fract_z
_atom_site_occupancy
Ce1 Ce 0.0000 0.0000 0.0000 1
Ce2 Ce 0.0000 0.0000 0.4989 1
Ce3 Ce 0.0000 0.2502 0.2495 1
Ce4 Ce 0.2464 0.0000 0.7470 1
Ce5 Ce 0.2472 0.0000 0.2518 1
Ce6 Ce 0.2468 0.2473 0.4997 1
Ce7 Ce 0.5000 0.2495 0.2494 1
Pm1 Pm 0.5000 0.0000 0.9983 1
Pu1 Pu 0.5000 0.0000 0.5000 1
```

Main lines, by angle (10° ≤ 2θ ≤ 90°):
index  d [Å]  Position (°2θ)  intensity
2 2 2  2.731  32.8  100
0 4 0  2.369  38.0  34
4 0 0  2.357  38.2  17
0 4 4  1.675  54.8  12
4 4 0  1.671  54.9  23
2 6 2  1.428  65.4  27
6 2 2  1.423  65.6  13
4 4 4  1.366  68.7  12
0 8 0  1.185  81.2  4
8 0 0  1.179  81.7  2